Entry 1:
Structure and theoretical powder diffraction line list of CaMg6B (DFT lattice parameters and positions (GGA-PBE); a wavelength of 1.5418 Å).

a b c (Å): 4.5960 5.8687 13.3299
angles (deg): 90.00 90.00 90.00
Fractional coordinates of all 16 atoms:
Ca 0.0000 0.0000 0.0000
Ca 0.0000 0.5000 0.5000
Mg 0.0000 0.2459 0.7465
Mg 0.0000 0.2541 0.2465
Mg 0.0000 0.7459 0.2465
Mg 0.0000 0.7541 0.7465
Mg 0.5000 0.0000 0.1605
Mg 0.5000 0.0000 0.6028
Mg 0.5000 0.2350 0.3885
Mg 0.5000 0.2650 0.8885
Mg 0.5000 0.5000 0.1028
Mg 0.5000 0.5000 0.6605
Mg 0.5000 0.7350 0.8885
Mg 0.5000 0.7650 0.3885
B 0.0000 0.0000 0.3954
B 0.0000 0.5000 0.8954

Peak list (12 most intense, 2θ = 15–90°, low angle first)
- 5.371 Å, I 15.8
- 3.492 Å, I 28.8
- 2.806 Å, I 31.4
- 2.698 Å, I 100.0
- 2.686 Å, I 47.8
- 2.427 Å, I 20.7
- 2.319 Å, I 98.8
- 2.298 Å, I 43.1
- 1.771 Å, I 16.8
- 1.746 Å, I 25.1
- 1.668 Å, I 28.0
- 1.289 Å, I 16.8

=====

Entry 2:
Structure and theoretical powder diffraction line list of BaZnSeF2 (DFT lattice parameters and positions (GGA-PBE); a wavelength of 1.5418 Å).

a b c (Å): 6.6068 6.6068 6.6068
angles (deg): 120.53 120.53 89.08
Fractional coordinates of all 10 atoms:
Ba 0.2500 0.7500 0.5000
Ba 0.7500 0.2500 0.5000
Zn 0.0000 0.0000 0.0000
Zn 0.5000 0.5000 0.0000
Se 0.2500 0.2500 0.0000
Se 0.7500 0.7500 0.0000
F 0.1700 0.6700 0.8401
F 0.3300 0.1700 0.5000
F 0.6700 0.8300 0.5000
F 0.8300 0.3300 0.1599

Peak list (12 most intense, 2θ = 15–90°, low angle first)
- 4.709 Å, I 17.1
- 3.303 Å, I 38.6
- 3.277 Å, I 100.0
- 2.690 Å, I 44.8
- 2.355 Å, I 30.6
- 2.317 Å, I 48.6
- 1.912 Å, I 43.2
- 1.897 Å, I 24.2
- 1.651 Å, I 33.2
- 1.465 Å, I 21.8
- 1.345 Å, I 14.1
- 1.244 Å, I 25.2

=====

Entry 3:
Structure and theoretical powder diffraction line list of LiTh4B3Rh12 (DFT lattice parameters and positions (GGA-PBE); a wavelength of 1.5418 Å).

a b c (Å): 7.4498 7.4498 7.4498
angles (deg): 109.47 109.47 109.47
Fractional coordinates of all 20 atoms:
Li 0.0000 0.0000 0.0000
Th 0.0000 0.0000 0.5000
Th 0.0000 0.5000 0.0000
Th 0.5000 0.0000 0.0000
Th 0.5000 0.5000 0.5000
B 0.0000 0.5000 0.5000
B 0.5000 0.0000 0.5000
B 0.5000 0.5000 0.0000
Rh 0.0000 0.2627 0.2627
Rh 0.0000 0.7373 0.7373
Rh 0.2500 0.5000 0.7500
Rh 0.2500 0.7500 0.5000
Rh 0.2627 0.0000 0.2627
Rh 0.2627 0.2627 0.0000
Rh 0.5000 0.2500 0.7500
Rh 0.5000 0.7500 0.2500
Rh 0.7373 0.0000 0.7373
Rh 0.7373 0.7373 0.0000
Rh 0.7500 0.2500 0.5000
Rh 0.7500 0.5000 0.2500

Peak list (12 most intense, 2θ = 15–90°, low angle first)
- 4.301 Å, I 11.7
- 3.041 Å, I 14.3
- 2.483 Å, I 100.0
- 2.151 Å, I 52.0
- 1.924 Å, I 6.7
- 1.756 Å, I 6.0
- 1.521 Å, I 34.2
- 1.434 Å, I 3.5
- 1.360 Å, I 3.0
- 1.297 Å, I 37.9
- 1.242 Å, I 11.5
- 1.150 Å, I 3.6

=====

Entry 4:
Structure and theoretical powder diffraction line list of BaCaTe4 (DFT lattice parameters and positions (GGA-PBE); a wavelength of 1.5418 Å).

a b c (Å): 7.0343 7.0343 8.6354
angles (deg): 90.00 90.00 90.00
Fractional coordinates of all 12 atoms:
Ba 0.2500 0.2500 0.0000
Ba 0.7500 0.7500 0.0000
Ca 0.2500 0.2500 0.5000
Ca 0.7500 0.7500 0.5000
Te 0.1077 0.6077 0.2743
Te 0.1077 0.8923 0.7257
Te 0.3923 0.6077 0.7257
Te 0.3923 0.8923 0.2743
Te 0.6077 0.1077 0.7257
Te 0.6077 0.3923 0.2743
Te 0.8923 0.1077 0.2743
Te 0.8923 0.3923 0.7257

Peak list (12 most intense, 2θ = 15–90°, low angle first)
- 4.315 Å, I 33.7
- 3.260 Å, I 65.7
- 2.956 Å, I 100.0
- 2.727 Å, I 22.0
- 2.224 Å, I 33.1
- 2.158 Å, I 16.3
- 2.124 Å, I 32.1
- 1.760 Å, I 10.1
- 1.629 Å, I 23.2
- 1.549 Å, I 17.7
- 1.548 Å, I 16.1
- 1.292 Å, I 11.9

=====

Entry 5:
Structure and theoretical powder diffraction line list of LaPm4Pb (DFT lattice parameters and positions (GGA-PBE); a wavelength of 1.5418 Å).

a b c (Å): 5.7420 6.9454 10.0643
angles (deg): 90.00 90.03 90.00
Fractional coordinates of all 12 atoms:
La 0.2490 0.2500 0.0670
La 0.7510 0.7500 0.9330
Pm 0.2504 0.2500 0.4168
Pm 0.2496 0.5078 0.7462
Pm 0.2496 0.9922 0.7462
Pm 0.2509 0.7500 0.1210
Pm 0.7491 0.2500 0.8790
Pm 0.7504 0.0078 0.2538
Pm 0.7504 0.4922 0.2538
Pm 0.7496 0.7500 0.5832
Pb 0.2496 0.7500 0.4367
Pb 0.7504 0.2500 0.5633

Peak list (12 most intense, 2θ = 15–90°, low angle first)
- 2.897 Å, I 72.4
- 2.871 Å, I 40.1
- 2.853 Å, I 100.0
- 2.037 Å, I 9.8
- 2.026 Å, I 25.5
- 1.736 Å, I 9.1
- 1.667 Å, I 12.6
- 1.662 Å, I 24.4
- 1.653 Å, I 13.2
- 1.489 Å, I 19.5
- 1.486 Å, I 10.9
- 1.201 Å, I 9.6

=====

Entry 6:
Structure and theoretical powder diffraction line list of TaGaSiOsPb (DFT lattice parameters and positions (GGA-PBE); a wavelength of 1.5418 Å).

a b c (Å): 3.1409 3.8038 15.0249
angles (deg): 90.00 90.00 90.00
Fractional coordinates of all 10 atoms:
Ta 0.0000 0.0000 0.0000
Ta 0.0000 0.5000 0.5000
Ga 0.0000 0.0000 0.7220
Ga 0.0000 0.5000 0.2220
Si 0.5000 0.0000 0.5638
Si 0.5000 0.5000 0.0638
Os 0.5000 0.0000 0.1657
Os 0.5000 0.5000 0.6657
Pb 0.5000 0.0000 0.3656
Pb 0.5000 0.5000 0.8656

Peak list (12 most intense, 2θ = 15–90°, low angle first)
- 3.687 Å, I 48.9
- 3.029 Å, I 28.8
- 2.898 Å, I 18.8
- 2.504 Å, I 31.3
- 2.410 Å, I 74.2
- 2.391 Å, I 100.0
- 2.358 Å, I 67.8
- 2.180 Å, I 23.5
- 1.902 Å, I 29.3
- 1.886 Å, I 28.2
- 1.493 Å, I 34.0
- 1.307 Å, I 21.5

=====

Entry 7:
Structure and theoretical powder diffraction line list of RbDyTl2Br6 (DFT lattice parameters and positions (GGA-PBE); a wavelength of 1.5418 Å).

a b c (Å): 8.2200 8.2281 8.5384
angles (deg): 90.02 118.77 119.97
Fractional coordinates of all 10 atoms:
Rb 0.0000 0.0000 0.0000
Dy 0.9795 0.4898 0.4688
Tl 0.5745 0.2875 0.8609
Tl 0.5949 0.7979 0.3918
Br 0.0804 0.4017 0.2191
Br 0.0833 0.2562 0.6822
Br 0.4262 0.8273 0.6821
Br 0.5410 0.1397 0.2188
Br 0.8173 0.6780 0.2185
Br 0.8548 0.5993 0.6819

Peak list (12 most intense, 2θ = 15–90°, low angle first)
- 4.264 Å, I 73.7
- 4.113 Å, I 55.8
- 3.558 Å, I 63.2
- 2.960 Å, I 51.9
- 2.687 Å, I 100.0
- 2.403 Å, I 51.4
- 2.374 Å, I 63.1
- 2.051 Å, I 18.2
- 2.040 Å, I 19.8
- 1.779 Å, I 24.6
- 1.670 Å, I 20.4
- 1.562 Å, I 19.4

=====

Entry 8:
Structure and theoretical powder diffraction line list of Ba2Zn3Ag4Sn (DFT lattice parameters and positions (GGA-PBE); a wavelength of 1.5418 Å).

a b c (Å): 4.7484 4.7484 11.0207
angles (deg): 90.00 90.00 90.00
Fractional coordinates of all 10 atoms:
Ba 0.0000 0.5000 0.2460
Ba 0.5000 0.0000 0.7540
Zn 0.0000 0.5000 0.8815
Zn 0.5000 0.0000 0.1185
Zn 0.5000 0.5000 0.5000
Ag 0.0000 0.0000 0.0000
Ag 0.0000 0.5000 0.6384
Ag 0.5000 0.0000 0.3616
Ag 0.5000 0.5000 0.0000
Sn 0.0000 0.0000 0.5000

Peak list (12 most intense, 2θ = 15–90°, low angle first)
- 2.906 Å, I 50.2
- 2.867 Å, I 100.0
- 2.374 Å, I 64.8
- 2.130 Å, I 22.1
- 1.999 Å, I 21.2
- 1.838 Å, I 26.5
- 1.679 Å, I 21.7
- 1.611 Å, I 12.7
- 1.529 Å, I 17.5
- 1.449 Å, I 24.2
- 1.192 Å, I 12.3
- 1.163 Å, I 8.8